Diffraction record for Cd7Au4. The X-ray diffraction stick pattern is computed, not measured: it uses a crystal structure in Alexandria, relaxed with GGA-PBE and a wavelength of 1.5418 Å.

Cell and atoms:
a = 8.1848 Å, b = 8.1848 Å, c = 4.3039 Å
α = 90.00°, β = 90.00°, γ = 120.00°
Space group P-6m2 (No. 187)
Symmetry-distinct sites (fractional):
Cd  0.0000  0.0000  0.0000 [1 per cell]
Cd  0.1895  0.3791  0.5000 [3 per cell]
Cd  0.5320  0.0640  0.0000 [3 per cell]
Au  0.3333  0.6667  0.0000 [1 per cell]
Au  0.4045  0.2022  0.5000 [3 per cell]

Principal peaks in the range 5° ≤ 2θ ≤ 70°, sorted by position:
hkl	2θ/deg	d/Å	Rel. int.
1 1 1	30.13	2.966	47
2 0 1	32.73	2.736	100
2 1 0	33.45	2.679	54
2 1 1	39.63	2.274	91
0 0 2	41.98	2.152	41
3 0 1	43.70	2.071	49
2 2 0	44.27	2.046	46
2 1 2	54.71	1.678	26
2 2 2	62.65	1.483	32
5 0 1	69.86	1.346	28

---

Diffraction record for Cd3Au. The X-ray diffraction stick pattern is computed, not measured: it uses a crystal structure in Alexandria, relaxed with GGA-PBE and a wavelength of 1.5418 Å.

Cell and atoms:
a = 5.529 Å, b = 5.529 Å, c = 5.529 Å
α = 90.00°, β = 90.00°, γ = 90.00°
Space group Pm-3n (No. 223)
Symmetry-distinct sites (fractional):
Cd  0.000  0.250  0.500 [6 per cell]
Au  0.000  0.000  0.000 [2 per cell]

Principal peaks in the range 5° ≤ 2θ ≤ 70°, sorted by position:
hkl	2θ/deg	d/Å	Rel. int.
1 1 0	22.74	3.910	14
2 0 0	32.38	2.765	44
2 1 0	36.33	2.473	70
2 1 1	39.94	2.257	100
2 2 0	46.45	1.955	2
3 1 0	52.32	1.749	4
2 2 2	57.76	1.596	2
3 2 0	60.36	1.534	15
3 2 1	62.89	1.478	52
4 0 0	67.79	1.382	15

---

Diffraction record for CdAu4. The X-ray diffraction stick pattern is computed, not measured: it uses a crystal structure in Alexandria, relaxed with GGA-PBE and a wavelength of 1.5418 Å.

Cell and atoms:
a = 3.0160 Å, b = 3.0160 Å, c = 35.4603 Å
α = 90.00°, β = 90.00°, γ = 120.00°
Space group R-3m (No. 166, hexagonal axes)
Symmetry-distinct sites (fractional):
Cd  0.0000  0.0000  0.0000 [3 per cell]
Au  0.0000  0.0000  0.1995 [6 per cell]
Au  0.0000  0.0000  0.4007 [6 per cell]

Principal peaks in the range 5° ≤ 2θ ≤ 70°, sorted by position:
hkl	2θ/deg	d/Å	Rel. int.
0 0 3	7.48	11.820	11
0 0 6	14.99	5.910	2
0 0 9	22.57	3.940	1
1 0 1	34.43	2.605	1
0 1 5	36.67	2.451	100
0 0 15	38.07	2.364	30
0 1 8	40.07	2.250	1
1 0 10	43.01	2.103	64
1 1 0	61.49	1.508	22
0 1 20	63.41	1.467	20

---

Diffraction record for CdAu5. The X-ray diffraction stick pattern is computed, not measured: it uses a crystal structure in Alexandria, relaxed with GGA-PBE and a wavelength of 1.5418 Å.

Cell and atoms:
a = 11.124 Å, b = 2.940 Å, c = 6.987 Å
α = 90.00°, β = 104.86°, γ = 90.00°
Space group Cm (No. 8)
Symmetry-distinct sites (fractional):
Cd  0.000  0.000  0.000 [2 per cell]
Au  0.111  0.500  0.720 [2 per cell]
Au  0.167  0.500  0.335 [2 per cell]
Au  0.276  0.000  0.055 [2 per cell]
Au  0.335  0.000  0.669 [2 per cell]
Au  0.444  0.500  0.387 [2 per cell]

Principal peaks in the range 5° ≤ 2θ ≤ 70°, sorted by position:
hkl	2θ/deg	d/Å	Rel. int.
2 0 2	34.81	2.577	15
1 1 1	35.14	2.554	34
4 0 -2	37.02	2.428	55
4 0 1	39.12	2.303	37
3 1 0	39.65	2.273	68
0 0 3	40.09	2.249	100
3 1 3	62.62	1.483	24
0 2 0	63.26	1.470	12
7 1 -2	68.16	1.376	14
5 1 -4	69.12	1.359	13

---

Diffraction record for Cd2Au17. The X-ray diffraction stick pattern is computed, not measured: it uses a crystal structure in Alexandria, relaxed with GGA-PBE and a wavelength of 1.5418 Å.

Cell and atoms:
a = 9.7211 Å, b = 9.7211 Å, c = 14.0121 Å
α = 90.00°, β = 90.00°, γ = 120.00°
Space group R-3m (No. 166, hexagonal axes)
Symmetry-distinct sites (fractional):
Cd  0.0000  0.0000  0.1844 [6 per cell]
Au  0.0000  0.0000  0.3991 [6 per cell]
Au  0.0000  0.3438  0.5000 [18 per cell]
Au  0.0000  0.5000  0.0000 [9 per cell]
Au  0.0034  0.5017  0.6714 [18 per cell]

Principal peaks in the range 5° ≤ 2θ ≤ 70°, sorted by position:
hkl	2θ/deg	d/Å	Rel. int.
1 1 0	18.25	4.861	23
3 0 0	31.89	2.806	29
2 2 0	36.99	2.430	45
3 0 3	37.38	2.405	91
0 0 6	38.55	2.335	34
2 2 3	41.90	2.156	100
1 1 6	42.97	2.105	38
3 3 3	60.48	1.531	22
6 0 0	66.66	1.403	31
3 0 9	68.98	1.361	22

---

Diffraction record for CeCd4Au. The X-ray diffraction stick pattern is computed, not measured: it uses a crystal structure in Alexandria, relaxed with GGA-PBE and a wavelength of 1.5418 Å.

Cell and atoms:
a = 7.850 Å, b = 4.651 Å, c = 7.801 Å
α = 90.00°, β = 90.00°, γ = 90.00°
Space group Pmma (No. 51)
Symmetry-distinct sites (fractional):
Ce  0.250  0.000  0.123 [2 per cell]
Cd  0.000  0.000  0.500 [2 per cell]
Cd  0.051  0.500  0.817 [4 per cell]
Cd  0.250  0.500  0.438 [2 per cell]
Au  0.250  0.000  0.748 [2 per cell]

Principal peaks in the range 5° ≤ 2θ ≤ 70°, sorted by position:
hkl	2θ/deg	d/Å	Rel. int.
1 0 1	16.02	5.534	16
2 1 0	29.78	3.000	22
2 1 1	31.99	2.798	100
0 0 3	34.49	2.600	19
1 0 3	36.40	2.468	28
2 1 2	37.84	2.378	72
0 2 0	38.72	2.326	41
3 1 1	41.24	2.189	21
4 0 0	46.26	1.963	15
1 2 3	54.19	1.693	18

---

Diffraction record for CsCdAuCl6. The X-ray diffraction stick pattern is computed, not measured: it uses a crystal structure in Alexandria, relaxed with GGA-PBE and a wavelength of 1.5418 Å.

Cell and atoms:
a = 6.7937 Å, b = 6.7937 Å, c = 7.7839 Å
α = 90.00°, β = 90.00°, γ = 120.00°
Space group P312 (No. 149)
Symmetry-distinct sites (fractional):
Cs  0.0000  0.0000  0.0000 [1 per cell]
Cd  0.3333  0.6667  0.5000 [1 per cell]
Au  0.6667  0.3333  0.5000 [1 per cell]
Cl  0.3804  0.0146  0.6893 [6 per cell]

Principal peaks in the range 5° ≤ 2θ ≤ 70°, sorted by position:
hkl	2θ/deg	d/Å	Rel. int.
0 0 1	11.37	7.784	39
1 0 1	18.91	4.694	100
1 1 0	26.24	3.397	27
2 -1 1	28.67	3.113	19
2 0 1	32.54	2.752	20
2 -1 2	35.06	2.559	64
3 -1 1	42.27	2.138	24
3 0 0	46.29	1.961	19
0 0 4	46.68	1.946	16
1 1 4	54.33	1.689	26